# Li3TlIn4
Theoretical powder diffraction line list, Cu Kα. Input: a structure optimized by DFT (GGA-PBE).

Cell lengths 3.305, 4.623, 12.370 Å; angles 79.90, 82.40, 89.88 degrees
Fractional positions:
Li  0.000  0.000  0.000
Li  0.147  0.646  0.703
Li  0.853  0.354  0.297
Tl  0.500  0.500  0.000
In  0.279  0.779  0.440
In  0.406  0.902  0.195
In  0.594  0.098  0.805
In  0.721  0.221  0.560

Top 8 peaks for 15 to 90 degrees two-theta, sorted by position:
| d/Å | 2θ/deg | Rel. int. |
| --- | --- | --- |
| 4.029 | 22.06 | 68 |
| 3.987 | 22.30 | 63 |
| 3.274 | 27.24 | 100 |
| 2.780 | 32.20 | 50 |
| 2.748 | 32.58 | 49 |
| 2.311 | 38.98 | 55 |
| 2.228 | 40.49 | 47 |
| 2.082 | 43.46 | 57 |


# Li6Tl2In3
Theoretical powder diffraction line list, Cu Kα. Input: a structure optimized by DFT (GGA-PBE).

Cell lengths 10.674, 10.674, 10.674 Å; angles 151.38, 151.38, 40.91 degrees
Fractional positions:
Li  0.084  0.584  0.500
Li  0.211  0.211  0.000
Li  0.416  0.916  0.500
Li  0.584  0.084  0.500
Li  0.789  0.789  0.000
Li  0.916  0.416  0.500
Tl  0.075  0.075  0.000
Tl  0.925  0.925  0.000
In  0.350  0.350  0.000
In  0.500  0.500  0.000
In  0.650  0.650  0.000

Top 8 peaks for 15 to 90 degrees two-theta, sorted by position:
| d/Å | 2θ/deg | Rel. int. |
| --- | --- | --- |
| 3.731 | 23.85 | 100 |
| 3.495 | 25.48 | 21 |
| 3.188 | 27.99 | 37 |
| 2.638 | 33.98 | 45 |
| 2.513 | 35.74 | 72 |
| 2.032 | 44.59 | 21 |
| 1.819 | 50.14 | 55 |
| 1.668 | 55.05 | 23 |